(1)
Diffraction record for BeOs2I. The X-ray powder pattern is calculated, not measured: it uses a cell relaxed with GGA-PBE and Cu Kα (weighted mean of Kα1 and Kα2).
No peak broadening, texture or thermal motion is included.

Most intense lines, 10 to 90 degrees two-theta, by angle:
d = 4.096 Å, 2θ 21.7, I = 83; d = 3.706 Å, 2θ 24.0, I = 83; d = 2.844 Å, 2θ 31.5, I = 45; d = 2.607 Å, 2θ 34.4, I = 100; d = 2.446 Å, 2θ 36.7, I = 48; d = 2.239 Å, 2θ 40.3, I = 74; d = 2.231 Å, 2θ 40.4, I = 74; d = 2.136 Å, 2θ 42.3, I = 49; d = 1.987 Å, 2θ 45.7, I = 62; d = 1.887 Å, 2θ 48.2, I = 42; d = 1.860 Å, 2θ 49.0, I = 37; d = 1.850 Å, 2θ 49.3, I = 37

Structure:
```
BeOs2I
1.0
3.773 0.000 0.000
1.887 4.194 0.000
0.031 1.737 11.155
Be Os I
2 4 2
Direct
0.000 0.000 0.000
0.236 0.524 0.245
0.319 0.359 0.060
0.621 0.755 0.126
0.710 0.579 0.921
0.955 0.085 0.217
0.227 0.547 0.743
0.449 0.092 0.409
```



(2)
Diffraction record for La2PmIn3. The X-ray powder pattern is calculated, not measured: it uses a cell relaxed with GGA-PBE and Cu Kα (weighted mean of Kα1 and Kα2).
No peak broadening, texture or thermal motion is included.

Most intense lines, 10 to 90 degrees two-theta, by angle:
d = 2.778 Å, 2θ 32.2, I = 100; d = 2.759 Å, 2θ 32.5, I = 50; d = 1.978 Å, 2θ 45.9, I = 9; d = 1.951 Å, 2θ 46.6, I = 18; d = 1.608 Å, 2θ 57.3, I = 18; d = 1.596 Å, 2θ 57.8, I = 37; d = 1.389 Å, 2θ 67.4, I = 11; d = 1.379 Å, 2θ 68.0, I = 6; d = 1.249 Å, 2θ 76.2, I = 7; d = 1.235 Å, 2θ 77.2, I = 8; d = 1.234 Å, 2θ 77.3, I = 8; d = 1.131 Å, 2θ 85.9, I = 6

Structure:
```
La2PmIn3
1.0
3.901 0.000 0.000
0.000 3.901 0.000
0.000 0.000 11.869
La Pm In
2 1 3
Direct
0.000 0.000 0.170
0.000 0.000 0.830
0.000 0.000 0.500
0.500 0.500 0.000
0.500 0.500 0.343
0.500 0.500 0.657
```



(3)
Diffraction record for KCdAs. The X-ray powder pattern is calculated, not measured: it uses a cell relaxed with GGA-PBE and Cu Kα (weighted mean of Kα1 and Kα2).
No peak broadening, texture or thermal motion is included.

Most intense lines, 10 to 90 degrees two-theta, by angle:
d = 7.996 Å, 2θ 11.1, I = 100; d = 3.995 Å, 2θ 22.3, I = 13; d = 3.019 Å, 2θ 29.6, I = 68; d = 2.527 Å, 2θ 35.5, I = 78; d = 2.306 Å, 2θ 39.1, I = 49; d = 2.215 Å, 2θ 40.7, I = 18; d = 2.063 Å, 2θ 43.9, I = 20; d = 1.833 Å, 2θ 49.7, I = 15; d = 1.630 Å, 2θ 56.4, I = 18; d = 1.598 Å, 2θ 57.7, I = 10; d = 1.435 Å, 2θ 65.0, I = 17; d = 1.370 Å, 2θ 68.5, I = 21

Structure:
```
KCdAs
1.0
4.611 0.000 0.000
0.000 4.611 0.000
0.000 0.000 7.996
K Cd As
2 2 2
Direct
0.250 0.250 0.151
0.750 0.750 0.849
0.250 0.750 0.500
0.750 0.250 0.500
0.250 0.250 0.708
0.750 0.750 0.292
```



(4)
Diffraction record for PuTlBiO. The X-ray powder pattern is calculated, not measured: it uses a cell relaxed with GGA-PBE and Cu Kα (weighted mean of Kα1 and Kα2).
No peak broadening, texture or thermal motion is included.

Most intense lines, 10 to 90 degrees two-theta, by angle:
d = 3.105 Å, 2θ 28.8, I = 29; d = 2.913 Å, 2θ 30.7, I = 100; d = 2.332 Å, 2θ 38.6, I = 34; d = 1.865 Å, 2θ 48.8, I = 29; d = 1.753 Å, 2θ 52.2, I = 17; d = 1.649 Å, 2θ 55.8, I = 14; d = 1.507 Å, 2θ 61.6, I = 5; d = 1.456 Å, 2θ 63.9, I = 14; d = 1.435 Å, 2θ 65.0, I = 25; d = 1.292 Å, 2θ 73.2, I = 5; d = 1.201 Å, 2θ 79.9, I = 10; d = 1.092 Å, 2θ 89.9, I = 5

Structure:
```
PuTlBiO
1.0
3.298 0.000 0.000
0.000 3.298 0.000
0.000 0.000 18.630
Pu Tl Bi O
2 2 2 2
Direct
0.000 0.000 0.000
0.500 0.500 0.500
0.000 0.000 0.308
0.500 0.500 0.808
0.000 0.000 0.651
0.500 0.500 0.151
0.000 0.000 0.471
0.500 0.500 0.971
```



(5)
Diffraction record for Pm2HS2. The X-ray powder pattern is calculated, not measured: it uses a cell relaxed with GGA-PBE and Cu Kα (weighted mean of Kα1 and Kα2).
No peak broadening, texture or thermal motion is included.

Most intense lines, 10 to 90 degrees two-theta, by angle:
d = 3.333 Å, 2θ 26.7, I = 100; d = 2.918 Å, 2θ 30.6, I = 40; d = 2.905 Å, 2θ 30.8, I = 43; d = 2.838 Å, 2θ 31.5, I = 43; d = 2.059 Å, 2θ 44.0, I = 27; d = 2.034 Å, 2θ 44.5, I = 29; d = 2.030 Å, 2θ 44.6, I = 30; d = 1.754 Å, 2θ 52.1, I = 14; d = 1.749 Å, 2θ 52.3, I = 15; d = 1.719 Å, 2θ 53.3, I = 17; d = 1.666 Å, 2θ 55.1, I = 27; d = 1.275 Å, 2θ 74.4, I = 13

Structure:
```
Pm2HS2
1.0
-2.918 5.810 2.838
2.918 -5.810 2.838
2.918 5.810 -2.838
Pm H S
4 2 4
Direct
0.114 0.222 0.336
0.386 0.722 0.108
0.614 0.278 0.892
0.886 0.778 0.664
0.250 0.250 0.000
0.750 0.750 0.000
0.139 0.710 0.849
0.361 0.210 0.571
0.639 0.790 0.429
0.861 0.290 0.151
```



(6)
Diffraction record for Ag2AuI4. The X-ray powder pattern is calculated, not measured: it uses a cell relaxed with GGA-PBE and Cu Kα (weighted mean of Kα1 and Kα2).
No peak broadening, texture or thermal motion is included.

Most intense lines, 10 to 90 degrees two-theta, by angle:
d = 6.458 Å, 2θ 13.7, I = 11; d = 4.493 Å, 2θ 19.8, I = 14; d = 3.688 Å, 2θ 24.1, I = 100; d = 2.622 Å, 2θ 34.2, I = 8; d = 2.283 Å, 2θ 39.5, I = 27; d = 2.247 Å, 2θ 40.1, I = 51; d = 1.941 Å, 2θ 46.8, I = 33; d = 1.897 Å, 2θ 48.0, I = 15; d = 1.614 Å, 2θ 57.0, I = 9; d = 1.459 Å, 2θ 63.8, I = 12; d = 1.311 Å, 2θ 72.0, I = 17; d = 1.290 Å, 2θ 73.4, I = 9

Structure:
```
Ag2AuI4
1.0
6.458 0.000 0.000
0.000 6.458 0.000
0.000 0.000 6.255
Ag Au I
2 1 4
Direct
0.000 0.500 0.000
0.500 0.000 0.000
0.000 0.000 0.500
0.259 0.259 0.734
0.259 0.741 0.266
0.741 0.259 0.266
0.741 0.741 0.734
```



(7)
Diffraction record for TmMg3Pb3. The X-ray powder pattern is calculated, not measured: it uses a cell relaxed with GGA-PBE and Cu Kα (weighted mean of Kα1 and Kα2).
No peak broadening, texture or thermal motion is included.

Most intense lines, 10 to 90 degrees two-theta, by angle:
d = 7.388 Å, 2θ 12.0, I = 17; d = 5.117 Å, 2θ 17.3, I = 22; d = 3.694 Å, 2θ 24.1, I = 35; d = 3.249 Å, 2θ 27.4, I = 15; d = 3.152 Å, 2θ 28.3, I = 20; d = 2.919 Å, 2θ 30.6, I = 15; d = 2.669 Å, 2θ 33.6, I = 29; d = 2.558 Å, 2θ 35.1, I = 22; d = 2.535 Å, 2θ 35.4, I = 100; d = 1.847 Å, 2θ 49.3, I = 15; d = 1.742 Å, 2θ 52.5, I = 17; d = 1.514 Å, 2θ 61.2, I = 20

Structure:
```
TmMg3Pb3
1.0
5.117 -5.338 0.000
5.117 5.338 0.000
-0.007 0.000 6.971
Tm Mg Pb
2 6 6
Direct
0.200 0.200 0.000
0.800 0.800 0.000
0.146 0.854 0.500
0.245 0.755 0.000
0.256 0.256 0.500
0.744 0.744 0.500
0.755 0.245 0.000
0.854 0.146 0.500
0.000 0.500 0.259
0.000 0.500 0.741
0.500 0.000 0.259
0.500 0.000 0.741
0.500 0.500 0.243
0.500 0.500 0.757
```



(8)
Diffraction record for Pm6CdGe3. The X-ray powder pattern is calculated, not measured: it uses a cell relaxed with GGA-PBE and Cu Kα (weighted mean of Kα1 and Kα2).
No peak broadening, texture or thermal motion is included.

Most intense lines, 10 to 90 degrees two-theta, by angle:
d = 2.939 Å, 2θ 30.4, I = 92; d = 2.771 Å, 2θ 32.3, I = 100; d = 2.742 Å, 2θ 32.7, I = 86; d = 2.524 Å, 2θ 35.6, I = 49; d = 2.493 Å, 2θ 36.0, I = 30; d = 2.188 Å, 2θ 41.3, I = 39; d = 1.754 Å, 2θ 52.1, I = 15; d = 1.734 Å, 2θ 52.8, I = 17; d = 1.653 Å, 2θ 55.6, I = 28; d = 1.644 Å, 2θ 55.9, I = 16; d = 1.471 Å, 2θ 63.2, I = 15; d = 1.348 Å, 2θ 69.8, I = 14

Structure:
```
Pm6CdGe3
1.0
5.553 -5.668 0.000
5.553 5.668 0.000
0.000 0.000 8.751
Pm Cd Ge
12 2 6
Direct
0.007 0.491 0.750
0.166 0.834 0.509
0.166 0.834 0.991
0.320 0.320 0.000
0.320 0.320 0.500
0.491 0.007 0.250
0.509 0.993 0.750
0.680 0.680 0.000
0.680 0.680 0.500
0.834 0.166 0.009
0.834 0.166 0.491
0.993 0.509 0.250
0.381 0.619 0.250
0.619 0.381 0.750
0.121 0.123 0.250
0.123 0.121 0.750
0.370 0.630 0.750
0.630 0.370 0.250
0.877 0.879 0.250
0.879 0.877 0.750
```



(9)
Diffraction record for K6Rb2NaS. The X-ray powder pattern is calculated, not measured: it uses a cell relaxed with GGA-PBE and Cu Kα (weighted mean of Kα1 and Kα2).
No peak broadening, texture or thermal motion is included.

Most intense lines, 10 to 90 degrees two-theta, by angle:
d = 7.684 Å, 2θ 11.5, I = 16; d = 5.196 Å, 2θ 17.1, I = 21; d = 4.879 Å, 2θ 18.2, I = 44; d = 4.148 Å, 2θ 21.4, I = 77; d = 3.842 Å, 2θ 23.2, I = 75; d = 3.456 Å, 2θ 25.8, I = 100; d = 3.443 Å, 2θ 25.9, I = 39; d = 3.225 Å, 2θ 27.7, I = 16; d = 2.439 Å, 2θ 36.8, I = 50; d = 2.315 Å, 2θ 38.9, I = 17; d = 2.021 Å, 2θ 44.8, I = 19; d = 1.922 Å, 2θ 47.3, I = 18

Structure:
```
K6Rb2NaS
1.0
9.258 0.000 0.000
4.622 8.627 0.000
4.622 -2.368 8.296
K Rb Na S
6 2 1 1
Direct
0.000 0.000 0.000
0.000 0.446 0.554
0.038 0.426 0.981
0.446 0.020 0.575
0.554 0.426 0.980
0.959 0.020 0.575
0.498 0.508 0.495
0.498 0.940 0.063
0.000 0.722 0.276
0.000 0.222 0.777
```



(10)
Diffraction record for Cu2OsNF. The X-ray powder pattern is calculated, not measured: it uses a cell relaxed with GGA-PBE and Cu Kα (weighted mean of Kα1 and Kα2).
No peak broadening, texture or thermal motion is included.

Most intense lines, 10 to 90 degrees two-theta, by angle:
d = 5.003 Å, 2θ 17.7, I = 83; d = 4.525 Å, 2θ 19.6, I = 25; d = 3.487 Å, 2θ 25.5, I = 18; d = 3.239 Å, 2θ 27.5, I = 60; d = 2.292 Å, 2θ 39.3, I = 100; d = 2.262 Å, 2θ 39.9, I = 35; d = 2.253 Å, 2θ 40.0, I = 18; d = 2.122 Å, 2θ 42.6, I = 55; d = 2.109 Å, 2θ 42.9, I = 38; d = 1.947 Å, 2θ 46.7, I = 20; d = 1.698 Å, 2θ 54.0, I = 20; d = 1.508 Å, 2θ 61.5, I = 19

Structure:
```
Cu2OsNF
1.0
10.033 0.000 0.000
0.000 2.723 0.000
-0.337 0.000 4.525
Cu Os N F
4 2 2 2
Direct
0.000 0.000 0.000
0.246 0.500 0.731
0.500 0.500 0.000
0.746 0.000 0.731
0.337 0.000 0.295
0.837 0.500 0.295
0.194 0.000 0.048
0.694 0.500 0.048
0.016 0.500 0.598
0.516 0.000 0.598
```



(11)
Diffraction record for CePu6Ge2. The X-ray powder pattern is calculated, not measured: it uses a cell relaxed with GGA-PBE and Cu Kα (weighted mean of Kα1 and Kα2).
No peak broadening, texture or thermal motion is included.

Most intense lines, 10 to 90 degrees two-theta, by angle:
d = 4.398 Å, 2θ 20.2, I = 23; d = 3.139 Å, 2θ 28.4, I = 25; d = 2.555 Å, 2θ 35.1, I = 70; d = 2.539 Å, 2θ 35.3, I = 100; d = 1.974 Å, 2θ 46.0, I = 42; d = 1.801 Å, 2θ 50.7, I = 25; d = 1.469 Å, 2θ 63.3, I = 26; d = 1.466 Å, 2θ 63.5, I = 19; d = 1.335 Å, 2θ 70.5, I = 28; d = 1.328 Å, 2θ 71.0, I = 12; d = 1.270 Å, 2θ 74.8, I = 11; d = 1.137 Å, 2θ 85.4, I = 11

Structure:
```
CePu6Ge2
1.0
8.796 0.000 0.000
-4.398 7.618 0.000
0.000 0.000 3.139
Ce Pu Ge
1 6 2
Direct
0.000 0.000 0.000
0.000 0.341 0.500
0.000 0.659 0.500
0.341 0.000 0.500
0.341 0.341 0.500
0.659 0.000 0.500
0.659 0.659 0.500
0.333 0.667 0.000
0.667 0.333 0.000
```



(12)
Diffraction record for BaTl6Hg8. The X-ray powder pattern is calculated, not measured: it uses a cell relaxed with GGA-PBE and Cu Kα (weighted mean of Kα1 and Kα2).
No peak broadening, texture or thermal motion is included.

Most intense lines, 10 to 90 degrees two-theta, by angle:
d = 3.215 Å, 2θ 27.8, I = 31; d = 3.069 Å, 2θ 29.1, I = 35; d = 2.997 Å, 2θ 29.8, I = 26; d = 2.936 Å, 2θ 30.4, I = 88; d = 2.749 Å, 2θ 32.6, I = 44; d = 2.537 Å, 2θ 35.4, I = 46; d = 2.483 Å, 2θ 36.2, I = 100; d = 2.204 Å, 2θ 41.0, I = 37; d = 1.736 Å, 2θ 52.7, I = 12; d = 1.720 Å, 2θ 53.3, I = 14; d = 1.585 Å, 2θ 58.2, I = 21; d = 1.531 Å, 2θ 60.5, I = 16

Structure:
```
BaTl6Hg8
1.0
4.762 2.749 5.818
-4.762 2.749 5.818
0.000 -5.499 5.818
Ba Tl Hg
1 6 8
Direct
0.000 0.000 0.000
0.179 0.600 0.381
0.381 0.179 0.600
0.400 0.619 0.821
0.600 0.381 0.179
0.619 0.821 0.400
0.821 0.400 0.619
0.095 0.433 0.832
0.168 0.905 0.567
0.218 0.218 0.218
0.433 0.832 0.095
0.567 0.168 0.905
0.782 0.782 0.782
0.832 0.095 0.433
0.905 0.567 0.168
```



Please write out number 11 again, unchanged.
Diffraction record for CePu6Ge2. The X-ray powder pattern is calculated, not measured: it uses a cell relaxed with GGA-PBE and Cu Kα (weighted mean of Kα1 and Kα2).
No peak broadening, texture or thermal motion is included.

Most intense lines, 10 to 90 degrees two-theta, by angle:
d = 4.398 Å, 2θ 20.2, I = 23; d = 3.139 Å, 2θ 28.4, I = 25; d = 2.555 Å, 2θ 35.1, I = 70; d = 2.539 Å, 2θ 35.3, I = 100; d = 1.974 Å, 2θ 46.0, I = 42; d = 1.801 Å, 2θ 50.7, I = 25; d = 1.469 Å, 2θ 63.3, I = 26; d = 1.466 Å, 2θ 63.5, I = 19; d = 1.335 Å, 2θ 70.5, I = 28; d = 1.328 Å, 2θ 71.0, I = 12; d = 1.270 Å, 2θ 74.8, I = 11; d = 1.137 Å, 2θ 85.4, I = 11

Structure:
```
CePu6Ge2
1.0
8.796 0.000 0.000
-4.398 7.618 0.000
0.000 0.000 3.139
Ce Pu Ge
1 6 2
Direct
0.000 0.000 0.000
0.000 0.341 0.500
0.000 0.659 0.500
0.341 0.000 0.500
0.341 0.341 0.500
0.659 0.000 0.500
0.659 0.659 0.500
0.333 0.667 0.000
0.667 0.333 0.000
```